Record 1
Simulated powder X-ray diffraction pattern of TbPrCu2Se4 for Cu Kα, from a cell relaxed with PBE.
Neutral-atom scattering factors, no anomalous dispersion.

Crystal structure
Cell: 6.332 6.332 6.332 Å, 114.54 112.58 101.58°
Sites, in units of the cell vectors:
Tb: 0.000 0.000 0.000
Pr: 0.500 0.500 0.000
Cu: 0.157 0.657 0.500
Cu: 0.843 0.343 0.500
Se: 0.028 0.052 0.473
Se: 0.421 0.948 0.976
Se: 0.579 0.555 0.527
Se: 0.972 0.445 0.024

Peak list (10 most intense, 10° ≤ 2θ ≤ 80°, by angle)
2θ/deg, I_rel
18.1, 24
28.8, 100
33.9, 46
34.5, 47
36.6, 88
46.9, 25
47.7, 25
49.2, 35
63.2, 16
64.9, 16

***

Record 2
Simulated powder X-ray diffraction pattern of Pa3Ge5Pd for Cu Kα, from a cell relaxed with PBE.
Neutral-atom scattering factors, no anomalous dispersion.

Crystal structure
Cell: 8.512 8.512 5.820 Å, 90.00 90.00 120.00°
Sites, in units of the cell vectors:
Pa: 0.000 0.386 0.250
Pa: 0.000 0.614 0.750
Pa: 0.386 0.000 0.250
Pa: 0.386 0.386 0.750
Pa: 0.614 0.000 0.750
Pa: 0.614 0.614 0.250
Ge: 0.000 0.262 0.750
Ge: 0.000 0.738 0.250
Ge: 0.262 0.000 0.750
Ge: 0.262 0.262 0.250
Ge: 0.333 0.667 0.000
Ge: 0.333 0.667 0.500
Ge: 0.667 0.333 0.000
Ge: 0.667 0.333 0.500
Ge: 0.738 0.000 0.250
Ge: 0.738 0.738 0.750
Pd: 0.000 0.000 0.000
Pd: 0.000 0.000 0.500

Peak list (10 most intense, 10° ≤ 2θ ≤ 80°, by angle)
2θ/deg, I_rel
24.1, 22
25.9, 75
30.7, 27
35.7, 86
36.6, 88
37.4, 100
47.1, 44
57.9, 22
66.4, 30
69.4, 26

***

Record 3
Simulated powder X-ray diffraction pattern of HoTh2Co9 for Cu Kα, from a cell relaxed with PBE.
Neutral-atom scattering factors, no anomalous dispersion.

Crystal structure
Cell: 8.851 8.851 8.851 Å, 32.49 32.49 32.49°
Sites, in units of the cell vectors:
Ho: 0.000 0.000 0.000
Th: 0.137 0.137 0.137
Th: 0.863 0.863 0.863
Co: 0.081 0.578 0.578
Co: 0.333 0.333 0.333
Co: 0.422 0.422 0.919
Co: 0.422 0.919 0.422
Co: 0.500 0.500 0.500
Co: 0.578 0.081 0.578
Co: 0.578 0.578 0.081
Co: 0.667 0.667 0.667
Co: 0.919 0.422 0.422

Peak list (10 most intense, 10° ≤ 2θ ≤ 80°, by angle)
2θ/deg, I_rel
21.0, 31
32.5, 82
35.4, 71
36.3, 80
42.3, 50
42.4, 100
45.0, 24
62.9, 25
64.7, 25
77.0, 25

***

Record 4
Simulated powder X-ray diffraction pattern of TmCuGe for Cu Kα, from a cell relaxed with PBE.
Neutral-atom scattering factors, no anomalous dispersion.

Crystal structure
Cell: 4.189 4.189 3.668 Å, 90.00 90.00 120.00°
Sites, in units of the cell vectors:
Tm: 0.000 0.000 0.000
Cu: 0.333 0.667 0.500
Ge: 0.667 0.333 0.500

Peak list (10 most intense, 10° ≤ 2θ ≤ 80°, by angle)
2θ/deg, I_rel
24.5, 19
34.8, 100
43.2, 46
49.7, 10
50.3, 3
56.2, 4
56.6, 24
67.9, 23
73.8, 22
79.2, 8

***

Record 5
Simulated powder X-ray diffraction pattern of Dy2Al2Ga3 for Cu Kα, from a cell relaxed with PBE.
Neutral-atom scattering factors, no anomalous dispersion.

Crystal structure
Cell: 9.682 9.682 7.178 Å, 90.00 90.00 154.99°
Sites, in units of the cell vectors:
Dy: 0.055 0.945 0.750
Dy: 0.155 0.845 0.250
Dy: 0.845 0.155 0.750
Dy: 0.945 0.055 0.250
Al: 0.323 0.677 0.066
Al: 0.323 0.677 0.434
Al: 0.677 0.323 0.566
Al: 0.677 0.323 0.934
Ga: 0.227 0.773 0.750
Ga: 0.443 0.557 0.577
Ga: 0.443 0.557 0.923
Ga: 0.557 0.443 0.077
Ga: 0.557 0.443 0.423
Ga: 0.773 0.227 0.250

Peak list (10 most intense, 10° ≤ 2θ ≤ 80°, by angle)
2θ/deg, I_rel
22.5, 13
24.8, 21
31.0, 15
33.2, 63
34.3, 100
42.3, 24
43.2, 23
47.7, 13
55.2, 13
62.0, 15

***

Record 6
Simulated powder X-ray diffraction pattern of U8MnS17 for Cu Kα, from a cell relaxed with PBE.
Neutral-atom scattering factors, no anomalous dispersion.

Crystal structure
Cell: 7.805 7.805 10.377 Å, 99.60 99.60 64.72°
Sites, in units of the cell vectors:
U: 0.182 0.699 0.801
U: 0.204 0.204 0.956
U: 0.301 0.818 0.199
U: 0.317 0.317 0.481
U: 0.683 0.683 0.519
U: 0.699 0.182 0.801
U: 0.796 0.796 0.044
U: 0.818 0.301 0.199
Mn: 0.000 0.000 0.500
S: 0.000 0.000 0.000
S: 0.056 0.676 0.534
S: 0.058 0.058 0.729
S: 0.179 0.567 0.036
S: 0.212 0.212 0.220
S: 0.303 0.303 0.746
S: 0.324 0.944 0.466
S: 0.433 0.821 0.964
S: 0.479 0.479 0.330
S: 0.521 0.521 0.670
S: 0.567 0.179 0.036
S: 0.676 0.056 0.534
S: 0.697 0.697 0.254
S: 0.788 0.788 0.780
S: 0.821 0.433 0.964
S: 0.942 0.942 0.271
S: 0.944 0.324 0.466

Peak list (10 most intense, 10° ≤ 2θ ≤ 80°, by angle)
2θ/deg, I_rel
20.0, 38
24.3, 60
25.4, 100
26.0, 67
26.3, 55
27.2, 62
27.6, 80
35.3, 43
43.3, 39
46.3, 41

***

Record 7
Simulated powder X-ray diffraction pattern of BaSnRh for Cu Kα, from a cell relaxed with PBE.
Neutral-atom scattering factors, no anomalous dispersion.

Crystal structure
Cell: 6.847 7.214 8.637 Å, 90.00 122.91 90.00°
Sites, in units of the cell vectors:
Ba: 0.204 0.140 0.416
Ba: 0.204 0.360 0.916
Ba: 0.796 0.640 0.084
Ba: 0.796 0.860 0.584
Sn: 0.294 0.635 0.590
Sn: 0.294 0.865 0.090
Sn: 0.706 0.135 0.910
Sn: 0.706 0.365 0.410
Rh: 0.372 0.605 0.324
Rh: 0.372 0.895 0.824
Rh: 0.628 0.105 0.176
Rh: 0.628 0.395 0.676

Peak list (10 most intense, 10° ≤ 2θ ≤ 80°, by angle)
2θ/deg, I_rel
27.6, 54
28.2, 100
29.9, 34
31.1, 41
33.6, 41
33.8, 73
35.0, 92
44.0, 31
48.7, 33
49.6, 29

***

Record 8
Simulated powder X-ray diffraction pattern of Ho4Mg5Rh2 for Cu Kα, from a cell relaxed with PBE.
Neutral-atom scattering factors, no anomalous dispersion.

Crystal structure
Cell: 7.864 3.615 9.667 Å, 90.00 93.08 90.00°
Sites, in units of the cell vectors:
Ho: 0.169 0.000 0.347
Ho: 0.204 0.000 0.946
Ho: 0.796 0.000 0.054
Ho: 0.831 0.000 0.653
Mg: 0.181 0.500 0.654
Mg: 0.451 0.500 0.168
Mg: 0.500 0.500 0.500
Mg: 0.549 0.500 0.832
Mg: 0.819 0.500 0.346
Rh: 0.074 0.500 0.146
Rh: 0.926 0.500 0.854

Peak list (10 most intense, 10° ≤ 2θ ≤ 80°, by angle)
2θ/deg, I_rel
11.3, 100
14.2, 33
21.1, 20
32.6, 32
33.3, 49
33.7, 37
34.3, 20
37.4, 38
38.0, 34
50.5, 19

***

Record 9
Simulated powder X-ray diffraction pattern of AcPmHo3 for Cu Kα, from a cell relaxed with PBE.
Neutral-atom scattering factors, no anomalous dispersion.

Crystal structure
Cell: 9.257 9.257 7.125 Å, 90.00 90.00 145.73°
Sites, in units of the cell vectors:
Ac: 0.198 0.802 0.500
Ac: 0.802 0.198 0.000
Pm: 0.400 0.600 0.743
Pm: 0.600 0.400 0.243
Ho: 0.000 0.000 0.496
Ho: 0.000 0.000 0.996
Ho: 0.188 0.812 0.999
Ho: 0.399 0.601 0.255
Ho: 0.601 0.399 0.755
Ho: 0.812 0.188 0.499

Peak list (10 most intense, 10° ≤ 2θ ≤ 80°, by angle)
2θ/deg, I_rel
30.1, 100
30.4, 82
32.3, 26
32.8, 42
33.7, 15
39.7, 25
46.7, 19
52.4, 22
56.9, 17
60.6, 28

***

Record 10
Simulated powder X-ray diffraction pattern of ThZrCo2As2 for Cu Kα, from a cell relaxed with PBE.
Neutral-atom scattering factors, no anomalous dispersion.

Crystal structure
Cell: 4.013 4.013 7.619 Å, 90.00 90.00 120.00°
Sites, in units of the cell vectors:
Th: 0.000 0.000 0.000
Zr: 0.000 0.000 0.500
Co: 0.333 0.667 0.748
Co: 0.667 0.333 0.252
As: 0.333 0.667 0.281
As: 0.667 0.333 0.719

Peak list (10 most intense, 10° ≤ 2θ ≤ 80°, by angle)
2θ/deg, I_rel
11.6, 9
25.6, 17
28.2, 18
34.9, 100
45.2, 42
47.7, 10
55.0, 7
58.4, 23
67.8, 21
76.8, 20

***

Record 11
Simulated powder X-ray diffraction pattern of Li3Cu3P2O8 for Cu Kα, from a cell relaxed with PBE.
Neutral-atom scattering factors, no anomalous dispersion.

Crystal structure
Cell: 5.083 5.485 6.264 Å, 87.92 89.42 89.46°
Sites, in units of the cell vectors:
Li: 0.000 0.000 0.000
Li: 0.006 0.524 0.247
Li: 0.494 0.181 0.255
Cu: 0.083 0.492 0.694
Cu: 0.511 0.227 0.733
Cu: 0.551 0.618 0.523
P: 0.503 0.693 0.020
P: 0.991 0.025 0.491
O: 0.092 0.132 0.706
O: 0.094 0.758 0.476
O: 0.095 0.171 0.290
O: 0.199 0.682 0.007
O: 0.602 0.959 0.022
O: 0.603 0.541 0.222
O: 0.636 0.561 0.828
O: 0.684 0.026 0.497

Peak list (10 most intense, 10° ≤ 2θ ≤ 80°, by angle)
2θ/deg, I_rel
14.1, 100
16.2, 17
27.4, 15
32.4, 38
32.7, 20
33.5, 16
35.3, 54
37.9, 14
38.1, 19
48.4, 16

***

Record 12
Simulated powder X-ray diffraction pattern of KLaZrTiO6 for Cu Kα, from a cell relaxed with PBE.
Neutral-atom scattering factors, no anomalous dispersion.

Crystal structure
Cell: 5.736 5.736 5.736 Å, 60.00 60.00 60.00°
Sites, in units of the cell vectors:
K: 0.000 0.000 0.000
La: 0.500 0.500 0.500
Zr: 0.250 0.250 0.250
Ti: 0.750 0.750 0.750
O: 0.508 0.508 0.992
O: 0.508 0.992 0.508
O: 0.508 0.992 0.992
O: 0.992 0.508 0.508
O: 0.992 0.508 0.992
O: 0.992 0.992 0.508

Peak list (10 most intense, 10° ≤ 2θ ≤ 80°, by angle)
2θ/deg, I_rel
18.9, 29
31.2, 100
36.7, 18
38.4, 8
44.7, 37
48.9, 9
55.5, 38
59.2, 6
65.0, 22
73.9, 16

***

- What is the formula in the fifth record?
  Dy2Al2Ga3